This entry pairs a crystal structure of Y3Er8Tm3 with its theoretical powder X-ray diffraction pattern. Radiation: Cu Kα X-rays. Structure: a cell relaxed with PBE.
Kinematic intensities with the Lorentz-polarization factor, no thermal factor.

Structure:
```
data_Y3Er8Tm3
_symmetry_space_group_name_H-M 'I m m m'
_symmetry_Int_Tables_number 71
_symmetry_space_group_name_Hall '-I 2 2'
_cell_length_a 5.549
_cell_length_b 10.680
_cell_length_c 14.780
_cell_angle_alpha 90.00
_cell_angle_beta 90.00
_cell_angle_gamma 90.00
loop_
_atom_site_label
_atom_site_type_symbol
_atom_site_fract_x
_atom_site_fract_y
_atom_site_fract_z
_atom_site_occupancy
Y1 Y 0.000 0.000 0.000 1
Y2 Y 0.000 0.500 0.319 1
Er1 Er 0.000 0.159 0.279 1
Er2 Er 0.000 0.342 0.104 1
Tm1 Tm 0.000 0.000 0.500 1
Tm2 Tm 0.000 0.295 0.500 1
```

Largest 10 diffraction maxima, by intensity, 10° ≤ 2θ ≤ 80°:
- 2θ = 32.25°, d 2.776, intensity 100
- 2θ = 34.37°, d 2.609, intensity 41
- 2θ = 30.24°, d 2.955, intensity 23
- 2θ = 30.99°, d 2.885, intensity 21
- 2θ = 45.34°, d 2.000, intensity 15
- 2θ = 10.22°, d 8.656, intensity 15
- 2θ = 57.52°, d 1.602, intensity 13
- 2θ = 63.24°, d 1.470, intensity 9
- 2θ = 58.90°, d 1.568, intensity 9
- 2θ = 60.99°, d 1.519, intensity 8